[1]
Theoretical XRD peak list
Compound: Cd6Cu2Au
Radiation: Cu Kα, 1.54184 Å
Structure: a crystal structure in Alexandria, relaxed with PBE
No peak broadening, texture or thermal motion is included.

The 8 most intense peaks (2θ = 15–90°), low angle first:
| d/Å | I (rel.) |
| --- | --- |
| 2.440 | 100 |
| 2.238 | 20 |
| 2.198 | 20 |
| 1.942 | 11 |
| 1.568 | 13 |
| 1.328 | 13 |
| 1.311 | 13 |
| 1.220 | 10 |

Crystal structure
```
data_Cd6Cu2Au
_cell_length_a 4.396
_cell_length_b 11.649
_cell_length_c 13.429
_cell_angle_alpha 90.00
_cell_angle_beta 90.00
_cell_angle_gamma 90.00
_space_group_name_H-M_alt 'F m m m'
_space_group_IT_number 69
_space_group_name_Hall '-F 2 2'
loop_
_atom_site_label
_atom_site_type_symbol
_atom_site_fract_x
_atom_site_fract_y
_atom_site_fract_z
_atom_site_occupancy
Cd1 Cd 0.000 0.150 0.172 1
Cd2 Cd 0.000 0.159 0.500 1
Cu1 Cu 0.000 0.000 0.338 1
Au1 Au 0.000 0.000 0.000 1
```


[2]
Theoretical XRD peak list
Compound: Cd4CuAu
Radiation: Cu Kα, 1.54184 Å
Structure: a crystal structure in Alexandria, relaxed with PBE
No peak broadening, texture or thermal motion is included.

The 8 most intense peaks (2θ = 15–90°), low angle first:
| d/Å | I (rel.) |
| --- | --- |
| 4.201 | 18 |
| 2.634 | 100 |
| 2.392 | 17 |
| 2.338 | 41 |
| 2.139 | 51 |
| 2.100 | 39 |
| 1.538 | 18 |
| 1.370 | 23 |

Crystal structure
```
data_Cd4CuAu
_cell_length_a 6.764
_cell_length_b 6.764
_cell_length_c 5.359
_cell_angle_alpha 90.00
_cell_angle_beta 90.00
_cell_angle_gamma 90.00
_space_group_name_H-M_alt 'I 4 2 2'
_space_group_IT_number 97
_space_group_name_Hall 'I 4 2'
loop_
_atom_site_label
_atom_site_type_symbol
_atom_site_fract_x
_atom_site_fract_y
_atom_site_fract_z
_atom_site_occupancy
Cd1 Cd 0.160 0.340 0.250 1
Cu1 Cu 0.000 0.000 0.000 1
Au1 Au 0.000 0.000 0.500 1
```